For TbFe6Sn4Ge2, a structure optimized by DFT (PBE) gives the theoretical X-ray powder pattern in this record (Cu Ka).

Cell and atoms:
```
TbFe6Sn4Ge2
1.0
5.292 0.000 0.000
-2.646 4.583 0.000
0.000 0.000 8.738
Tb Fe Sn Ge
1 6 4 2
direct
0.000 0.000 0.000
0.000 0.500 0.232
0.000 0.500 0.768
0.500 0.000 0.232
0.500 0.000 0.768
0.500 0.500 0.232
0.500 0.500 0.768
0.000 0.000 0.336
0.000 0.000 0.664
0.333 0.667 0.500
0.667 0.333 0.500
0.333 0.667 0.000
0.667 0.333 0.000
```

Most intense lines, 10 to 90 degrees two-theta, by angle:
d/Å  two_theta  I_rel
2.646  33.88  100.0
2.458  36.55  84.5
2.291  39.32  45.1
2.263  39.83  85.6
2.185  41.33  22.5
2.029  44.66  49.5
1.958  46.36  21.8
1.489  62.37  36.7
1.323  71.29  32.6
1.276  74.35  35.9



For NpCrN2, a structure optimized by DFT (PBE) gives the theoretical X-ray powder pattern in this record (Cu Ka).

Cell and atoms:
```
NpCrN2
1.0
5.394 0.000 0.000
0.000 3.169 0.000
0.000 0.000 10.459
Np Cr N
4 4 8
direct
0.080 0.250 0.144
0.420 0.750 0.644
0.580 0.250 0.356
0.920 0.750 0.856
0.077 0.750 0.406
0.423 0.250 0.906
0.577 0.750 0.094
0.923 0.250 0.594
0.164 0.250 0.753
0.234 0.250 0.492
0.266 0.750 0.992
0.336 0.750 0.253
0.664 0.250 0.747
0.734 0.250 0.008
0.766 0.750 0.508
0.836 0.750 0.247
```

Most intense lines, 10 to 90 degrees two-theta, by angle:
d/Å  two_theta  I_rel
4.794  18.51  32.0
3.754  23.70  18.0
3.032  29.46  29.8
2.928  30.53  45.1
2.613  34.32  54.5
2.421  37.13  100.0
2.150  42.02  17.5
1.745  52.42  21.7
1.546  59.80  16.6
1.427  65.41  15.2



For Ce2Pm3PrTe6, a structure optimized by DFT (PBE) gives the theoretical X-ray powder pattern in this record (Cu Ka).

Cell and atoms:
```
Ce2Pm3PrTe6
1.0
9.787 -2.231 0.000
9.787 2.231 0.000
-2.134 0.000 8.773
Ce Pm Pr Te
2 3 1 6
direct
0.167 0.167 0.334
0.833 0.833 0.666
0.164 0.164 0.833
0.500 0.500 0.500
0.836 0.836 0.167
0.500 0.500 0.000
0.001 0.001 0.254
0.331 0.331 0.916
0.334 0.334 0.415
0.666 0.666 0.585
0.669 0.669 0.084
0.999 0.999 0.746
```

Most intense lines, 10 to 90 degrees two-theta, by angle:
d/Å  two_theta  I_rel
3.172  28.13  100.0
2.257  39.94  13.0
2.247  40.13  25.6
2.238  40.30  25.3
2.231  40.44  12.5
1.844  49.43  7.0
1.824  50.00  13.5
1.587  58.14  8.6
1.421  65.73  11.8
1.416  65.97  11.6



For Na2Ga13, a structure optimized by DFT (PBE) gives the theoretical X-ray powder pattern in this record (Cu Ka).

Cell and atoms:
```
Na2Ga13
1.0
3.736 2.157 8.369
-3.736 2.157 8.369
0.000 -4.314 8.369
Na Ga
2 13
direct
0.194 0.194 0.194
0.806 0.806 0.806
0.000 0.000 0.000
0.043 0.043 0.663
0.043 0.663 0.043
0.236 0.236 0.601
0.236 0.601 0.236
0.337 0.957 0.957
0.399 0.764 0.764
0.601 0.236 0.236
0.663 0.043 0.043
0.764 0.399 0.764
0.764 0.764 0.399
0.957 0.337 0.957
0.957 0.957 0.337
```

Most intense lines, 10 to 90 degrees two-theta, by angle:
d/Å  two_theta  I_rel
8.369  10.57  100.0
6.267  14.13  38.6
3.209  27.80  19.7
3.137  28.45  25.2
2.435  36.92  18.7
2.403  37.43  18.5
2.279  39.54  44.5
2.253  40.02  15.1
2.154  41.95  22.5
2.089  43.31  33.6



For RbPu2PtS4, a structure optimized by DFT (PBE) gives the theoretical X-ray powder pattern in this record (Cu Ka).

Cell and atoms:
```
RbPu2PtS4
1.0
2.012 -6.909 0.000
2.012 6.909 0.000
0.000 0.000 13.838
Rb Pu Pt S
2 4 2 8
direct
0.109 0.891 0.750
0.891 0.109 0.250
0.367 0.633 0.563
0.367 0.633 0.937
0.633 0.367 0.063
0.633 0.367 0.437
0.163 0.837 0.250
0.837 0.163 0.750
0.000 0.000 0.000
0.000 0.000 0.500
0.261 0.739 0.103
0.261 0.739 0.397
0.428 0.572 0.750
0.572 0.428 0.250
0.739 0.261 0.603
0.739 0.261 0.897
```

Most intense lines, 10 to 90 degrees two-theta, by angle:
d/Å  two_theta  I_rel
6.181  14.33  94.7
3.836  23.19  37.1
3.455  25.78  58.0
3.373  26.42  58.6
2.961  30.18  74.4
2.776  32.25  100.0
2.569  34.92  40.2
2.306  39.06  25.1
2.043  44.35  69.9
2.012  45.06  26.1



For RbInGa2Pb, a structure optimized by DFT (PBE) gives the theoretical X-ray powder pattern in this record (Cu Ka).

Cell and atoms:
```
RbInGa2Pb
1.0
-2.468 2.504 6.010
2.468 -2.504 6.010
2.468 2.504 -6.010
Rb In Ga Pb
1 1 2 1
direct
0.000 0.000 0.000
0.261 0.761 0.500
0.373 0.373 0.000
0.765 0.265 0.500
0.615 0.615 0.000
```

Most intense lines, 10 to 90 degrees two-theta, by angle:
d/Å  two_theta  I_rel
4.567  19.44  33.7
3.516  25.33  18.9
3.128  28.53  43.8
3.111  28.70  31.7
3.034  29.44  100.0
2.504  35.87  39.7
2.468  36.40  38.2
2.284  39.45  56.5
1.938  46.88  22.7
1.758  52.03  27.2



For In3HIr, a structure optimized by DFT (PBE) gives the theoretical X-ray powder pattern in this record (Cu Ka).

Cell and atoms:
```
In3HIr
1.0
5.155 0.000 0.000
0.000 5.155 0.000
0.000 0.000 5.155
In H Ir
3 1 1
direct
0.000 0.000 0.500
0.000 0.500 0.000
0.500 0.000 0.000
0.500 0.500 0.500
0.000 0.000 0.000
```

Most intense lines, 10 to 90 degrees two-theta, by angle:
d/Å  two_theta  I_rel
5.155  17.20  100.0
2.577  34.81  56.2
2.305  39.07  51.8
1.822  50.05  39.6
1.718  53.32  26.3
1.488  62.41  13.4
1.430  65.26  11.4
1.250  76.14  14.7
1.153  83.96  17.6
1.125  86.53  10.9



For SiAg2Au, a structure optimized by DFT (PBE) gives the theoretical X-ray powder pattern in this record (Cu Ka).

Cell and atoms:
```
SiAg2Au
1.0
3.004 0.000 0.000
0.000 4.241 0.000
-1.482 0.000 5.451
Si Ag Au
1 2 1
direct
0.000 0.000 0.000
0.236 0.000 0.494
0.600 0.500 0.220
0.868 0.500 0.752
```

Most intense lines, 10 to 90 degrees two-theta, by angle:
d/Å  two_theta  I_rel
5.451  16.26  17.9
4.241  20.95  28.5
3.347  26.63  22.9
2.392  37.61  100.0
2.320  38.82  28.0
2.311  38.97  27.7
2.293  39.30  83.4
2.120  42.64  33.9
1.565  59.02  16.0
1.255  75.82  23.7



For Ca2Ga7Pt, a structure optimized by DFT (PBE) gives the theoretical X-ray powder pattern in this record (Cu Ka).

Cell and atoms:
```
Ca2Ga7Pt
1.0
4.325 0.000 0.000
0.000 4.325 0.000
0.000 0.000 10.752
Ca Ga Pt
2 7 1
direct
0.000 0.500 0.239
0.500 0.000 0.761
0.000 0.000 0.000
0.000 0.000 0.500
0.000 0.500 0.638
0.000 0.500 0.871
0.500 0.000 0.129
0.500 0.000 0.362
0.500 0.500 0.500
0.500 0.500 0.000
```

Most intense lines, 10 to 90 degrees two-theta, by angle:
d/Å  two_theta  I_rel
5.376  16.49  43.0
4.012  22.15  32.1
2.760  32.44  30.8
2.658  33.72  100.0
2.162  41.77  61.4
2.019  44.90  61.1
1.925  47.20  17.1
1.529  60.55  19.9
1.325  71.13  21.7
1.219  78.46  23.2



For Pd8Pb4Se, a structure optimized by DFT (PBE) gives the theoretical X-ray powder pattern in this record (Cu Ka).

Cell and atoms:
```
Pd8Pb4Se
1.0
4.020 0.000 0.000
0.000 4.182 0.000
0.000 0.000 14.946
Pd Pb Se
8 4 1
direct
0.000 0.000 0.000
0.000 0.000 0.281
0.000 0.500 0.150
0.000 0.500 0.551
0.500 0.000 0.556
0.500 0.000 0.847
0.500 0.500 0.003
0.500 0.500 0.704
0.000 0.000 0.691
0.000 0.500 0.871
0.500 0.000 0.133
0.500 0.500 0.324
0.000 0.000 0.450
```

Most intense lines, 10 to 90 degrees two-theta, by angle:
d/Å  two_theta  I_rel
3.650  24.39  8.7
2.505  35.85  100.0
2.290  39.34  33.0
2.135  42.33  13.2
2.091  43.27  24.4
2.010  45.11  22.0
1.464  63.56  9.3
1.449  64.28  15.1
1.273  74.52  12.0
1.236  77.16  10.9



For Sc3Si2Ge2, a structure optimized by DFT (PBE) gives the theoretical X-ray powder pattern in this record (Cu Ka).

Cell and atoms:
```
Sc3Si2Ge2
1.0
-1.898 1.969 8.600
1.898 -1.969 8.600
1.898 1.969 -8.600
Sc Si Ge
3 2 2
direct
0.000 0.000 0.000
0.181 0.681 0.500
0.819 0.319 0.500
0.434 0.434 0.000
0.566 0.566 0.000
0.341 0.841 0.500
0.659 0.159 0.500
```

Most intense lines, 10 to 90 degrees two-theta, by angle:
d/Å  two_theta  I_rel
2.867  31.20  38.6
2.733  32.77  26.3
2.605  34.43  100.0
2.307  39.05  40.1
2.063  43.89  29.5
1.978  45.87  51.9
1.969  46.10  29.8
1.898  47.92  26.5
1.424  65.55  19.4
1.367  68.68  17.1



For Tb2Pm6Dy3Sc, a structure optimized by DFT (PBE) gives the theoretical X-ray powder pattern in this record (Cu Ka).

Cell and atoms:
```
Tb2Pm6Dy3Sc
1.0
3.106 -5.379 0.000
3.106 5.379 0.000
-2.066 0.000 11.584
Tb Pm Dy Sc
2 6 3 1
direct
0.167 0.833 0.000
0.833 0.167 0.000
0.087 0.418 0.752
0.252 0.252 0.248
0.418 0.087 0.752
0.582 0.913 0.248
0.748 0.748 0.752
0.913 0.582 0.248
0.000 0.000 0.500
0.333 0.667 0.500
0.667 0.333 0.500
0.500 0.500 0.000
```

Most intense lines, 10 to 90 degrees two-theta, by angle:
d/Å  two_theta  I_rel
2.925  30.57  100.0
2.896  30.88  32.3
2.527  35.53  66.8
1.793  50.92  24.0
1.780  51.33  23.4
1.529  60.57  14.3
1.525  60.75  28.2
1.516  61.11  13.9
1.462  63.63  12.2
1.163  83.01  11.8



For PmHo8Tm6, a structure optimized by DFT (PBE) gives the theoretical X-ray powder pattern in this record (Cu Ka).

Cell and atoms:
```
PmHo8Tm6
1.0
4.468 2.580 6.804
-4.468 2.580 6.804
0.000 -5.159 6.804
Pm Ho Tm
1 8 6
direct
0.000 0.000 0.000
0.110 0.744 0.720
0.256 0.280 0.890
0.280 0.890 0.256
0.423 0.423 0.423
0.577 0.577 0.577
0.720 0.110 0.744
0.744 0.720 0.110
0.890 0.256 0.280
0.108 0.233 0.538
0.233 0.538 0.108
0.462 0.892 0.767
0.538 0.108 0.233
0.767 0.462 0.892
0.892 0.767 0.462
```

Most intense lines, 10 to 90 degrees two-theta, by angle:
d/Å  two_theta  I_rel
2.895  30.88  20.3
2.810  31.84  100.0
2.729  32.82  29.7
2.707  33.10  9.1
2.538  35.37  12.5
2.412  37.28  13.7
1.703  53.83  12.9
1.689  54.32  6.5
1.639  56.11  9.2
1.516  61.11  10.7